# 1
This entry pairs a crystal structure of Zr2ScZn2 with its computed powder XRD pattern. Radiation: Cu Kα X-rays. Structure: DFT lattice parameters and positions (GGA-PBE).

Largest 6 diffraction maxima, low angle first, 2θ = 10–80°:
| 2theta | I (rel.) |
| --- | --- |
| 36.0 | 16 |
| 37.7 | 100 |
| 40.8 | 7 |
| 53.1 | 10 |
| 68.0 | 17 |
| 69.1 | 7 |

Lattice parameters (Å, degrees): 3.3070 4.7790 12.5738 90.00 97.58 90.00
Atoms (fractional coordinates):
Zr (0.0434, 0.2500, 0.0890)
Zr (0.2335, 0.2500, 0.4678)
Zr (0.7665, 0.7500, 0.5322)
Zr (0.9566, 0.7500, 0.9110)
Sc (0.1478, 0.7500, 0.2964)
Sc (0.8522, 0.2500, 0.7036)
Zn (0.3638, 0.7500, 0.7266)
Zn (0.4472, 0.2500, 0.8936)
Zn (0.5528, 0.7500, 0.1064)
Zn (0.6362, 0.2500, 0.2734)

# 2
This entry pairs a crystal structure of NdSm3Tm2Te6 with its computed powder XRD pattern. Radiation: Cu Kα X-rays. Structure: DFT lattice parameters and positions (GGA-PBE).

Largest 6 diffraction maxima, low angle first, 2θ = 10–80°:
| 2theta | I (rel.) |
| --- | --- |
| 28.6 | 100 |
| 40.6 | 13 |
| 40.9 | 25 |
| 41.0 | 25 |
| 41.4 | 13 |
| 51.1 | 13 |

Lattice parameters (Å, degrees): 9.8539 9.8539 8.8912 102.73 102.73 25.60
Atoms (fractional coordinates):
Nd (0.0000, 0.0000, 0.0000)
Sm (0.0000, 0.0000, 0.5000)
Sm (0.3409, 0.3409, 0.1663)
Sm (0.6591, 0.6591, 0.8337)
Tm (0.3358, 0.3358, 0.6695)
Tm (0.6642, 0.6642, 0.3305)
Te (0.1714, 0.1714, 0.0951)
Te (0.1707, 0.1707, 0.5781)
Te (0.4945, 0.4945, 0.7440)
Te (0.5055, 0.5055, 0.2560)
Te (0.8293, 0.8293, 0.4219)
Te (0.8286, 0.8286, 0.9049)

# 3
This entry pairs a crystal structure of Ho5Tm3 with its computed powder XRD pattern. Radiation: Cu Kα X-rays. Structure: DFT lattice parameters and positions (GGA-PBE).

Largest 6 diffraction maxima, low angle first, 2θ = 10–80°:
| 2theta | I (rel.) |
| --- | --- |
| 28.8 | 24 |
| 32.3 | 24 |
| 33.1 | 100 |
| 51.0 | 20 |
| 58.1 | 20 |
| 61.6 | 22 |

Lattice parameters (Å, degrees): 3.5827 5.5473 12.4080 90.00 90.00 90.00
Atoms (fractional coordinates):
Ho (0.0000, 0.0000, 0.0000)
Ho (0.0000, 0.0000, 0.4969)
Ho (0.0000, 0.5000, 0.8320)
Ho (0.5000, 0.0000, 0.7487)
Ho (0.5000, 0.5000, 0.5800)
Tm (0.0000, 0.5000, 0.3301)
Tm (0.5000, 0.0000, 0.2479)
Tm (0.5000, 0.5000, 0.0824)